Structure and computed X-ray powder pattern of Pr6TlAu3 (a DFT-relaxed cell (GGA-PBE, Alexandria); Cu Ka).

The 12 most intense peaks (10 to 90 degrees two-theta), in order of rising 2θ:
| h k l | two_theta | d (Å) | I/Imax |
| --- | --- | --- | --- |
| 1 3 1 | 22.5 | 3.947 | 32 |
| 2 2 1 | 23.3 | 3.823 | 28 |
| 3 1 1 | 27.8 | 3.205 | 40 |
| 2 4 1 | 30.7 | 2.916 | 100 |
| 1 3 2 | 31.1 | 2.871 | 31 |
| 2 2 2 | 31.7 | 2.823 | 61 |
| 3 3 1 | 32.3 | 2.773 | 45 |
| 0 4 2 | 33.7 | 2.656 | 38 |
| 3 1 2 | 35.3 | 2.545 | 50 |
| 0 6 1 | 36.7 | 2.446 | 69 |
| 3 5 0 | 37.8 | 2.379 | 33 |
| 0 2 3 | 39.0 | 2.308 | 37 |

```
data_Pr6TlAu3
_chemical_formula_sum 'Pr24 Tl4 Au12'
_symmetry_space_group_name_H-M 'C m c 21'
_symmetry_Int_Tables_number 36
_cell_length_a 11.0124
_cell_length_b 15.6143
_cell_length_c 7.2488
_cell_angle_alpha 90.00
_cell_angle_beta 90.00
_cell_angle_gamma 90.00
loop_
_symmetry_equiv_pos_as_xyz
'x,y,z'
'-x,-y,z+1/2'
'-x,y,z'
'x,-y,z+1/2'
'x+1/2,y+1/2,z'
'-x+1/2,-y+1/2,z+1/2'
'-x+1/2,y+1/2,z'
'x+1/2,-y+1/2,z+1/2'
loop_
_atom_site_label
_atom_site_type_symbol
_atom_site_fract_x
_atom_site_fract_y
_atom_site_fract_z
_atom_site_occupancy
Pr1 Pr 0.0000 0.0302 0.0000 1
Pr2 Pr 0.0000 0.2747 0.9190 1
Pr3 Pr 0.1990 0.2975 0.4901 1
Pr4 Pr 0.1989 0.4653 0.8622 1
Tl1 Tl 0.0000 0.1683 0.3150 1
Au1 Au 0.0000 0.4318 0.5794 1
Au2 Au 0.1485 0.1211 0.6837 1
```